Simulated X-ray powder pattern of TmMn5Fe for Cu Kα, 1.54184 Å, from the PBE geometry in Alexandria.
Peak positions follow from Bragg's law for the DFT cell and can differ from measured ones.

Structure:
abc: 7.903 4.765 9.780
angles: 90.00 90.00 90.00
Space group Pnma (No. 62)
Asymmetric unit:
Tm (0.246, 0.250, 0.065) [4 per cell]
Mn (0.053, 0.750, 0.088) [4 per cell]
Mn (0.074, 0.014, 0.307) [8 per cell]
Mn (0.084, 0.250, 0.529) [4 per cell]
Mn (0.191, 0.250, 0.760) [4 per cell]
Fe (0.139, 0.750, 0.852) [4 per cell]

Principal peaks in the range 2θ from 10° to 90°, sorted by position:
Position (°2θ)  Rel. int.  h k l
23.63  38  1 1 1
33.30  23  0 1 3
37.76  33  0 2 0
38.54  63  1 0 4
40.19  100  3 1 1
40.57  96  2 1 3
42.19  24  0 2 2
44.40  23  2 2 0
45.41  22  2 2 1
48.72  21  1 2 3